1.
La2Zn16Ir: simulated powder diffractogram (copper Kα), based on the GGA-PBE geometry in Alexandria.
Lines closer than 0.1° are merged.

Top 10 peaks for 2θ from 10° to 80°, sorted by position:
2theta, intensity
13.0, 37.5
34.1, 58.8
35.2, 49.3
39.6, 100.0
39.8, 99.0
40.6, 67.9
40.8, 40.1
44.7, 50.8
58.0, 29.9
73.3, 33.0

Structure:
a = 6.886 Å, b = 6.886 Å, c = 6.886 Å
α = 82.81°, β = 82.81°, γ = 82.81°
Element x y z (fractional)
La 0.000 0.000 0.000
La 0.328 0.328 0.328
Zn 0.015 0.015 0.514
Zn 0.015 0.514 0.015
Zn 0.163 0.673 0.673
Zn 0.317 0.317 0.827
Zn 0.317 0.827 0.317
Zn 0.387 0.670 0.954
Zn 0.387 0.954 0.670
Zn 0.514 0.015 0.015
Zn 0.570 0.570 0.570
Zn 0.670 0.387 0.954
Zn 0.670 0.954 0.387
Zn 0.673 0.163 0.673
Zn 0.673 0.673 0.163
Zn 0.827 0.317 0.317
Zn 0.954 0.387 0.670
Zn 0.954 0.670 0.387
Ir 0.770 0.770 0.770

***

2.
La6HgPt2: simulated powder diffractogram (copper Kα), based on the GGA-PBE geometry in Alexandria.
Lines closer than 0.1° are merged.

Top 10 peaks for 2θ from 10° to 80°, sorted by position:
2theta, intensity
28.4, 58.1
30.5, 84.1
30.9, 100.0
33.8, 97.8
35.2, 54.2
37.9, 64.0
39.6, 65.9
44.7, 34.1
51.6, 28.9
63.2, 45.7

Structure:
a = 5.945 Å, b = 5.945 Å, c = 9.516 Å
α = 96.95°, β = 96.95°, γ = 52.99°
Element x y z (fractional)
La 0.066 0.066 0.349
La 0.313 0.313 0.903
La 0.386 0.386 0.338
La 0.614 0.614 0.662
La 0.687 0.687 0.097
La 0.934 0.934 0.651
Hg 0.000 0.000 0.000
Pt 0.266 0.266 0.612
Pt 0.734 0.734 0.388

***

3.
TaNb4Mo2: simulated powder diffractogram (copper Kα), based on the GGA-PBE geometry in Alexandria.
Lines closer than 0.1° are merged.

Top 10 peaks for 2θ from 10° to 80°, sorted by position:
2theta, intensity
12.5, 17.9
22.4, 21.8
30.6, 15.6
37.1, 10.7
38.7, 100.0
40.8, 87.5
57.4, 29.1
70.0, 16.9
71.4, 31.3
75.6, 10.8

Structure:
a = 7.559 Å, b = 7.559 Å, c = 7.559 Å
α = 35.87°, β = 35.87°, γ = 35.87°
Element x y z (fractional)
Ta 0.000 0.000 0.000
Nb 0.248 0.248 0.248
Nb 0.384 0.384 0.384
Nb 0.616 0.616 0.616
Nb 0.752 0.752 0.752
Mo 0.125 0.125 0.125
Mo 0.875 0.875 0.875